For ErBiAs2O8, DFT lattice parameters and positions (PBE) gives the computed powder diffraction line list in this record (CuKα).
Neutral-atom scattering factors, no anomalous dispersion.

Structure:
a = 5.571 Å, b = 5.571 Å, c = 6.989 Å
α = 90.00°, β = 90.00°, γ = 120.00°
Fractional coordinates of all 12 atoms:
Er1 0.000 0.000 0.000
Bi1 0.000 0.000 0.500
As1 0.333 0.667 0.693
As2 0.667 0.333 0.307
O1 0.165 0.330 0.778
O2 0.165 0.835 0.778
O3 0.330 0.165 0.222
O4 0.333 0.667 0.453
O5 0.667 0.333 0.547
O6 0.670 0.835 0.778
O7 0.835 0.165 0.222
O8 0.835 0.670 0.222

Largest 10 diffraction maxima, most intense first, 10° ≤ 2θ ≤ 90°:
| hkl | 2θ (°) | I_rel |
| --- | --- | --- |
| 0 1 2 | 31.62 | 100 |
| 1 0 0 | 18.39 | 98 |
| 1 1 0 | 32.14 | 82 |
| 2 0 2 | 45.70 | 50 |
| 1 2 2 | 56.96 | 40 |
| 1 0 1 | 22.39 | 32 |
| 1 1 2 | 41.46 | 29 |
| 3 1 2 | 76.19 | 20 |
| 1 0 4 | 55.98 | 19 |
| 3 0 0 | 57.29 | 16 |

For EuBi2As, DFT lattice parameters and positions (PBE) gives the computed powder diffraction line list in this record (CuKα).
Neutral-atom scattering factors, no anomalous dispersion.

Structure:
a = 4.647 Å, b = 4.647 Å, c = 5.266 Å
α = 90.00°, β = 90.00°, γ = 90.00°
Fractional coordinates of all 4 atoms:
Eu1 0.000 0.000 0.000
Bi1 0.000 0.500 0.500
Bi2 0.500 0.000 0.500
As1 0.500 0.500 0.000

Largest 10 diffraction maxima, most intense first, 10° ≤ 2θ ≤ 90°:
| hkl | 2θ (°) | I_rel |
| --- | --- | --- |
| 1 1 1 | 32.11 | 100 |
| 2 0 0 | 38.76 | 30 |
| 3 1 1 | 66.00 | 26 |
| 2 0 2 | 52.53 | 25 |
| 0 0 2 | 34.05 | 21 |
| 1 1 3 | 59.73 | 17 |
| 3 1 3 | 86.35 | 13 |
| 2 2 2 | 67.16 | 12 |
| 2 2 0 | 55.97 | 11 |
| 0 0 1 | 16.84 | 9 |